Starting from DFT lattice parameters and positions (PBE), the XRD peak list of Gd3AsO7 was computed for Cu Kα, 1.54184 Å.

Top 8 peaks for 15° ≤ 2θ ≤ 90°, in order of rising 2θ:
(2 2 0), d = 3.040 Å, I 100
(2 0 2), d = 2.633 Å, I 34
(0 0 4), d = 1.863 Å, I 15
(2 4 2), d = 1.861 Å, I 28
(2 2 4), d = 1.588 Å, I 27
(2 6 0), d = 1.586 Å, I 11
(4 4 0), d = 1.520 Å, I 9
(6 2 0), d = 1.208 Å, I 11

Structure:
```
data_Gd3AsO7
_chemical_formula_sum 'Gd12 As4 O28'
_cell_length_a 7.446
_cell_length_b 10.513
_cell_length_c 7.458
_cell_angle_alpha 90.00
_cell_angle_beta 90.00
_cell_angle_gamma 90.00
_symmetry_space_group_name_H-M 'C 2 2 21'
_symmetry_Int_Tables_number 20
loop_
_symmetry_equiv_pos_as_xyz
'x,y,z'
'-x,-y,z+1/2'
'x,-y,-z'
'-x,y,-z+1/2'
'x+1/2,y+1/2,z'
'-x+1/2,-y+1/2,z+1/2'
'x+1/2,-y+1/2,-z'
'-x+1/2,y+1/2,-z+1/2'
loop_
_atom_site_label
_atom_site_fract_x
_atom_site_fract_y
_atom_site_fract_z
Gd1 0.011 0.000 0.000
Gd2 0.233 0.268 0.752
As1 0.000 0.500 0.000
O1 0.000 0.129 0.250
O2 0.000 0.135 0.750
O3 0.000 0.442 0.750
O4 0.178 0.379 0.030
O5 0.186 0.381 0.473
```

---

Starting from DFT lattice parameters and positions (PBE), the XRD peak list of Gd3AsO7 was computed for Cu Kα, 1.54184 Å.

Top 8 peaks for 15° ≤ 2θ ≤ 90°, in order of rising 2θ:
(2 2 0), d = 3.020 Å, I 100
(1 2 2), d = 2.792 Å, I 7
(0 4 0), d = 2.637 Å, I 11
(2 0 2), d = 2.605 Å, I 23
(2 4 2), d = 1.853 Å, I 23
(4 0 0), d = 1.845 Å, I 10
(0 6 2), d = 1.586 Å, I 9
(4 2 2), d = 1.574 Å, I 13

Structure:
```
data_Gd3AsO7
_chemical_formula_sum 'Gd12 As4 O28'
_cell_length_a 7.379
_cell_length_b 10.546
_cell_length_c 7.356
_cell_angle_alpha 90.00
_cell_angle_beta 90.00
_cell_angle_gamma 90.00
_symmetry_space_group_name_H-M 'P n m a'
_symmetry_Int_Tables_number 62
loop_
_symmetry_equiv_pos_as_xyz
'x,y,z'
'-x,-y,-z'
'-x+1/2,-y,z+1/2'
'x+1/2,y,-z+1/2'
'x+1/2,-y+1/2,-z+1/2'
'-x+1/2,y+1/2,z+1/2'
'-x,y+1/2,-z'
'x,-y+1/2,z'
loop_
_atom_site_label
_atom_site_fract_x
_atom_site_fract_y
_atom_site_fract_z
Gd1 0.004 0.250 0.227
Gd2 0.247 0.026 0.546
As1 0.002 0.750 0.249
O1 0.032 0.128 0.934
O2 0.037 0.625 0.420
O3 0.247 0.250 0.673
O4 0.249 0.617 0.771
```

---

Starting from DFT lattice parameters and positions (PBE), the XRD peak list of Gd5As2O12 was computed for Cu Kα, 1.54184 Å.

Top 8 peaks for 15° ≤ 2θ ≤ 90°, in order of rising 2θ:
(3 1 0), d = 3.297 Å, I 92
(1 1 -2), d = 3.136 Å, I 100
(0 2 0), d = 2.974 Å, I 35
(3 1 -2), d = 2.773 Å, I 24
(2 0 2), d = 2.700 Å, I 49
(2 2 2), d = 1.999 Å, I 39
(2 0 -4), d = 1.844 Å, I 24
(6 2 -2), d = 1.659 Å, I 23

Structure:
```
data_Gd5As2O12
_chemical_formula_sum 'Gd10 As4 O24'
_cell_length_a 12.444
_cell_length_b 5.951
_cell_length_c 7.379
_cell_angle_alpha 90.00
_cell_angle_beta 107.27
_cell_angle_gamma 90.00
_symmetry_space_group_name_H-M 'C 1 2/m 1'
_symmetry_Int_Tables_number 12
loop_
_symmetry_equiv_pos_as_xyz
'x,y,z'
'-x,-y,-z'
'-x,y,-z'
'x,-y,z'
'x+1/2,y+1/2,z'
'-x+1/2,-y+1/2,-z'
'-x+1/2,y+1/2,-z'
'x+1/2,-y+1/2,z'
loop_
_atom_site_label
_atom_site_fract_x
_atom_site_fract_y
_atom_site_fract_z
Gd1 0.000 0.000 0.000
Gd2 0.196 0.500 0.334
Gd3 0.197 0.500 0.860
As1 0.000 0.243 0.500
O1 0.000 0.500 0.324
O2 0.001 0.000 0.673
O3 0.153 0.249 0.076
O4 0.158 0.262 0.579
```

---

Starting from DFT lattice parameters and positions (PBE), the XRD peak list of GdAsO3 was computed for Cu Kα, 1.54184 Å.

Top 8 peaks for 15° ≤ 2θ ≤ 90°, in order of rising 2θ:
(1 1 0), d = 3.662 Å, I 100
(1 1 -2), d = 3.039 Å, I 51
(0 4 0), d = 3.015 Å, I 43
(1 3 -1), d = 2.952 Å, I 54
(1 3 0), d = 2.778 Å, I 35
(0 1 2), d = 2.739 Å, I 40
(0 4 1), d = 2.657 Å, I 56
(2 0 -2), d = 2.174 Å, I 40

Structure:
```
data_GdAsO3
_chemical_formula_sum 'Gd4 As4 O12'
_cell_length_a 4.442
_cell_length_b 12.060
_cell_length_c 6.500
_cell_angle_alpha 90.00
_cell_angle_beta 120.09
_cell_angle_gamma 90.00
_symmetry_space_group_name_H-M 'P 1 21/c 1'
_symmetry_Int_Tables_number 14
loop_
_symmetry_equiv_pos_as_xyz
'x,y,z'
'-x,-y,-z'
'-x,y+1/2,-z+1/2'
'x,-y+1/2,z+1/2'
loop_
_atom_site_label
_atom_site_fract_x
_atom_site_fract_y
_atom_site_fract_z
Gd1 0.146 0.145 0.151
As1 0.289 0.068 0.723
O1 0.059 0.550 0.710
O2 0.114 0.177 0.502
O3 0.453 0.652 0.512
```

---

Starting from DFT lattice parameters and positions (PBE), the XRD peak list of GdZnAsO was computed for Cu Kα, 1.54184 Å.

Top 8 peaks for 15° ≤ 2θ ≤ 90°, in order of rising 2θ:
(1 0 2), d = 2.994 Å, I 100
(1 1 0), d = 2.830 Å, I 19
(1 1 1), d = 2.700 Å, I 27
(1 0 3), d = 2.404 Å, I 18
(1 1 2), d = 2.397 Å, I 22
(2 0 0), d = 2.001 Å, I 35
(1 1 4), d = 1.764 Å, I 30
(2 1 2), d = 1.664 Å, I 39

Structure:
```
data_GdZnAsO
_chemical_formula_sum 'Gd2 Zn2 As2 O2'
_cell_length_a 4.002
_cell_length_b 4.002
_cell_length_c 9.021
_cell_angle_alpha 90.00
_cell_angle_beta 90.00
_cell_angle_gamma 90.00
_symmetry_space_group_name_H-M 'P 4/n m m'
_symmetry_Int_Tables_number 129
loop_
_symmetry_equiv_pos_as_xyz
'x,y,z'
'-x,-y,-z'
'-y+1/2,x,z'
'y+1/2,-x,-z'
'-x+1/2,-y+1/2,z'
'x+1/2,y+1/2,-z'
'y,-x+1/2,z'
'-y,x+1/2,-z'
'x+1/2,-y,-z'
'-x+1/2,y,z'
'-y,-x,-z'
'y,x,z'
'-x,y+1/2,-z'
'x,-y+1/2,z'
'y+1/2,x+1/2,-z'
'-y+1/2,-x+1/2,z'
loop_
_atom_site_label
_atom_site_fract_x
_atom_site_fract_y
_atom_site_fract_z
Gd1 0.250 0.250 0.126
Zn1 0.250 0.750 0.500
As1 0.250 0.250 0.678
O1 0.250 0.750 0.000
```

---

Starting from DFT lattice parameters and positions (PBE), the XRD peak list of Ge3As was computed for Cu Kα, 1.54184 Å.

Top 4 peaks for 15° ≤ 2θ ≤ 90°, in order of rising 2θ:
(2 2 0), d = 2.396 Å, I 100
(4 0 0), d = 1.694 Å, I 17
(4 2 2), d = 1.383 Å, I 34
(4 4 0), d = 1.198 Å, I 11

Structure:
```
data_Ge3As
_chemical_formula_sum 'Ge12 As4'
_cell_length_a 6.776
_cell_length_b 6.776
_cell_length_c 6.776
_cell_angle_alpha 90.00
_cell_angle_beta 90.00
_cell_angle_gamma 90.00
_symmetry_space_group_name_H-M 'F m -3 m'
_symmetry_Int_Tables_number 225
_symmetry_space_group_name_Hall '-F 4 2 3'
loop_
_atom_site_label
_atom_site_fract_x
_atom_site_fract_y
_atom_site_fract_z
Ge1 0.000 0.000 0.000
Ge2 0.250 0.250 0.250
As1 0.000 0.000 0.500
```